Record 1
Theoretical powder diffractogram
Compound: Sm3Cd2Ag6
Radiation: λ = 1.5418 Å (Cu Kα)
Structure: a DFT-relaxed cell (PBE, Alexandria)
Neutral-atom scattering factors, no anomalous dispersion.

```
11
Lattice="-1.993 1.993 16.677 1.993 -1.993 16.677 1.993 1.993 -16.677" Properties=species:S:1:pos:R:3 pbc="T T T"
Sm 0.000 0.000 0.000
Sm 0.000 0.000 6.056
Sm 0.000 0.000 27.298
Cd 0.000 0.000 12.161
Cd 0.000 0.000 21.193
Ag 1.993 0.000 2.438
Ag 0.000 0.000 9.102
Ag 1.993 0.000 14.239
Ag 0.000 1.993 2.438
Ag 0.000 0.000 24.252
Ag 0.000 1.993 14.239
```

Main lines, low angle first (2θ = 10–90°):
d = 3.422 Å, 26.04°, I = 39.1; d = 2.819 Å, 31.74°, I = 19.4; d = 2.780 Å, 32.21°, I = 65.9; d = 2.514 Å, 35.71°, I = 79.9; d = 2.413 Å, 37.26°, I = 100.0; d = 2.335 Å, 38.55°, I = 32.7; d = 1.993 Å, 45.51°, I = 62.9; d = 1.537 Å, 60.21°, I = 47.8; d = 1.409 Å, 66.32°, I = 19.7; d = 1.335 Å, 70.53°, I = 29.0

=====

Record 2
Theoretical powder diffractogram
Compound: Sm3Cd2Ag8
Radiation: λ = 1.5418 Å (Cu Kα)
Structure: a DFT-relaxed cell (PBE, Alexandria)
Neutral-atom scattering factors, no anomalous dispersion.

```
13
Lattice="2.773 1.601 11.118 -2.773 1.601 11.118 0.000 -3.202 11.118" Properties=species:S:1:pos:R:3 pbc="T T T"
Sm 0.000 0.000 0.000
Sm 0.000 0.000 6.291
Sm 0.000 0.000 27.064
Cd 0.000 0.000 12.092
Cd 0.000 0.000 21.263
Ag -1.397 -0.806 18.897
Ag 0.000 -1.613 14.458
Ag -1.397 0.806 14.458
Ag 0.000 0.000 9.348
Ag 0.000 0.000 24.007
Ag 1.397 -0.806 18.897
Ag 0.000 1.613 18.897
Ag 1.397 0.806 14.458
```

Main lines, low angle first (2θ = 10–90°):
d = 2.773 Å, 32.29°, I = 51.9; d = 2.564 Å, 35.00°, I = 100.0; d = 2.481 Å, 36.20°, I = 48.8; d = 2.377 Å, 37.86°, I = 68.5; d = 2.307 Å, 39.04°, I = 34.4; d = 2.261 Å, 39.88°, I = 47.6; d = 2.221 Å, 40.62°, I = 21.9; d = 1.557 Å, 59.34°, I = 41.1; d = 1.386 Å, 67.57°, I = 32.4; d = 1.219 Å, 78.42°, I = 18.3